1.
# DyHoW2N6
Computed PXRD pattern, Cu Kα. Input: a crystal structure in Alexandria, relaxed with PBE.
Intensities are scaled so that the largest is 100.

Peak list (8 most intense, 10 to 80 degrees two-theta, by angle)
hkl 2 2 -1, 2θ 25.95, intensity 100; hkl 3 1 0, 2θ 27.45, intensity 31; hkl 0 0 2, 2θ 30.71, intensity 50; hkl 2 2 1, 2θ 32.96, intensity 37; hkl 4 0 0, 2θ 34.63, intensity 40; hkl 4 0 -2, 2θ 36.60, intensity 24; hkl 2 2 -3, 2θ 47.24, intensity 22; hkl 5 3 -1, 2θ 49.67, intensity 23

Structure:
```
data_DyHoW2N6
_space_group_name_H-M_alt 'C 1 2/c 1'
_space_group_IT_number 15
_space_group_name_Hall '-C 2yc'
_cell_length_a 11.206
_cell_length_b 9.606
_cell_length_c 6.300
_cell_angle_alpha 90.00
_cell_angle_beta 112.44
_cell_angle_gamma 90.00
loop_
_atom_site_label
_atom_site_type_symbol
_atom_site_fract_x
_atom_site_fract_y
_atom_site_fract_z
Dy1 Dy 0.000 0.091 0.250
Ho1 Ho 0.000 0.287 0.750
W1 W 0.209 0.411 0.222
N1 N 0.111 0.109 0.656
N2 N 0.130 0.244 0.159
N3 N 0.145 0.486 0.922
```

---

2.
# DyHoZr2N4
Computed PXRD pattern, Cu Kα. Input: a crystal structure in Alexandria, relaxed with PBE.
Intensities are scaled so that the largest is 100.

Peak list (8 most intense, 10 to 80 degrees two-theta, by angle)
hkl 0 0 2, 2θ 32.51, intensity 33; hkl 2 0 0, 2θ 32.83, intensity 97; hkl 1 1 1, 2θ 37.99, intensity 100; hkl 2 0 2, 2θ 54.61, intensity 34; hkl 0 2 0, 2θ 55.03, intensity 33; hkl 1 1 3, 2θ 65.02, intensity 14; hkl 3 1 1, 2θ 65.39, intensity 28; hkl 4 0 0, 2θ 68.82, intensity 16

Structure:
```
data_DyHoZr2N4
_space_group_name_H-M_alt 'P 1 2/m 1'
_space_group_IT_number 10
_space_group_name_Hall '-P 2y'
_cell_length_a 5.777
_cell_length_b 3.340
_cell_length_c 5.836
_cell_angle_alpha 90.00
_cell_angle_beta 109.32
_cell_angle_gamma 90.00
loop_
_atom_site_label
_atom_site_type_symbol
_atom_site_fract_x
_atom_site_fract_y
_atom_site_fract_z
Dy1 Dy 0.000 0.000 0.000
Ho1 Ho 0.500 0.500 0.000
Zr1 Zr 0.000 0.500 0.500
Zr2 Zr 0.500 0.000 0.500
N1 N 0.246 0.000 0.735
N2 N 0.256 0.500 0.266
```

---

3.
# Nd5Dy3Ho3
Computed PXRD pattern, Cu Kα. Input: a crystal structure in Alexandria, relaxed with PBE.
Intensities are scaled so that the largest is 100.

Peak list (8 most intense, 10 to 80 degrees two-theta, by angle)
hkl 3 0 0, 2θ 27.38, intensity 95; hkl 1 1 1, 2θ 30.33, intensity 88; hkl 2 2 0, 2θ 31.72, intensity 55; hkl 3 1 0, 2θ 33.05, intensity 100; hkl 2 1 1, 2θ 35.58, intensity 74; hkl 2 2 1, 2θ 41.32, intensity 79; hkl 3 2 1, 2θ 48.40, intensity 49; hkl 6 0 1, 2θ 63.11, intensity 48

Structure:
```
data_Nd5Dy3Ho3
_space_group_name_H-M_alt 'P -6 2 m'
_space_group_IT_number 189
_space_group_name_Hall 'P -6 -2'
_cell_length_a 11.2825
_cell_length_b 11.2825
_cell_length_c 3.4556
_cell_angle_alpha 90.00
_cell_angle_beta 90.00
_cell_angle_gamma 120.00
loop_
_atom_site_label
_atom_site_type_symbol
_atom_site_fract_x
_atom_site_fract_y
_atom_site_fract_z
Nd1 Nd 0.0000 0.6612 0.0000
Nd2 Nd 0.3333 0.6667 0.0000
Dy1 Dy 0.0000 0.4042 0.5000
Ho1 Ho 0.0000 0.1593 0.0000
```

---

4.
# Nd4DyHo8
Computed PXRD pattern, Cu Kα. Input: a crystal structure in Alexandria, relaxed with PBE.
Intensities are scaled so that the largest is 100.

Peak list (8 most intense, 10 to 80 degrees two-theta, by angle)
hkl 0 0 3, 2θ 19.73, intensity 10; hkl 2 0 2, 2θ 22.82, intensity 9; hkl 2 2 0, 2θ 32.50, intensity 100; hkl 2 2 3, 2θ 38.31, intensity 5; hkl 4 0 4, 2θ 46.62, intensity 18; hkl 6 0 0, 2θ 57.98, intensity 37; hkl 4 4 0, 2θ 68.06, intensity 11; hkl 6 2 4, 2θ 77.46, intensity 15

Structure:
```
data_Nd4DyHo8
_space_group_name_H-M_alt 'R -3 m'
_space_group_IT_number 166
_space_group_name_Hall '-R 3 2"'
_cell_length_a 11.0273
_cell_length_b 11.0273
_cell_length_c 13.4826
_cell_angle_alpha 90.00
_cell_angle_beta 90.00
_cell_angle_gamma 120.00
loop_
_atom_site_label
_atom_site_type_symbol
_atom_site_fract_x
_atom_site_fract_y
_atom_site_fract_z
Nd1 Nd 0.0000 0.0000 0.0000
Nd2 Nd 0.0000 0.5000 0.0000
Dy1 Dy 0.0000 0.0000 0.5000
Ho1 Ho 0.0000 0.0000 0.2401
Ho2 Ho 0.0129 0.5064 0.7465
```

---

5.
# Nd4DyHo2
Computed PXRD pattern, Cu Kα. Input: a crystal structure in Alexandria, relaxed with PBE.
Intensities are scaled so that the largest is 100.

Peak list (8 most intense, 10 to 80 degrees two-theta, by angle)
hkl 1 7 1, 2θ 30.14, intensity 100; hkl 4 2 0, 2θ 30.67, intensity 31; hkl 2 0 2, 2θ 31.38, intensity 64; hkl 3 5 1, 2θ 32.09, intensity 33; hkl 2 2 2, 2θ 32.25, intensity 24; hkl 3 7 1, 2θ 36.97, intensity 27; hkl 1 7 3, 2θ 50.34, intensity 20; hkl 2 14 0, 2θ 55.07, intensity 21

Structure:
```
data_Nd4DyHo2
_space_group_name_H-M_alt 'F d d 2'
_space_group_IT_number 43
_space_group_name_Hall 'F 2 -2d'
_cell_length_a 12.013
_cell_length_b 24.304
_cell_length_c 6.478
_cell_angle_alpha 90.00
_cell_angle_beta 90.00
_cell_angle_gamma 90.00
loop_
_atom_site_label
_atom_site_type_symbol
_atom_site_fract_x
_atom_site_fract_y
_atom_site_fract_z
Nd1 Nd 0.052 0.430 0.000
Nd2 Nd 0.069 0.356 0.470
Dy1 Dy 0.000 0.000 0.005
Ho1 Ho 0.025 0.284 0.946
```

---

6.
# Nd6DyHo12
Computed PXRD pattern, Cu Kα. Input: a crystal structure in Alexandria, relaxed with PBE.
Intensities are scaled so that the largest is 100.

Peak list (8 most intense, 10 to 80 degrees two-theta, by angle)
hkl 3 0 0, 2θ 27.84, intensity 20; hkl 0 0 6, 2θ 30.63, intensity 21; hkl 0 3 3, 2θ 31.86, intensity 100; hkl 3 0 6, 2θ 41.86, intensity 18; hkl 3 3 0, 2θ 49.25, intensity 19; hkl 3 0 9, 2θ 55.23, intensity 15; hkl 3 3 6, 2θ 59.12, intensity 15; hkl 6 0 3, 2θ 59.86, intensity 13

Structure:
```
data_Nd6DyHo12
_space_group_name_H-M_alt 'R -3 m'
_space_group_IT_number 166
_space_group_name_Hall '-R 3 2"'
_cell_length_a 11.1001
_cell_length_b 11.1001
_cell_length_c 17.5139
_cell_angle_alpha 90.00
_cell_angle_beta 90.00
_cell_angle_gamma 120.00
loop_
_atom_site_label
_atom_site_type_symbol
_atom_site_fract_x
_atom_site_fract_y
_atom_site_fract_z
Nd1 Nd 0.0694 0.5347 0.2669
Dy1 Dy 0.0000 0.0000 0.5000
Ho1 Ho 0.1012 0.5506 0.9136
Ho2 Ho 0.1060 0.2121 0.9079
```

---

7.
# Nd5DyHo5
Computed PXRD pattern, Cu Kα. Input: a crystal structure in Alexandria, relaxed with PBE.
Intensities are scaled so that the largest is 100.

Peak list (8 most intense, 10 to 80 degrees two-theta, by angle)
hkl 4 0 -2, 2θ 27.27, intensity 21; hkl 5 1 0, 2θ 29.40, intensity 18; hkl 0 2 0, 2θ 29.83, intensity 75; hkl 6 0 0, 2θ 30.44, intensity 32; hkl 1 1 2, 2θ 33.22, intensity 100; hkl 6 2 0, 2θ 43.13, intensity 25; hkl 1 3 2, 2θ 55.13, intensity 24; hkl 4 2 -4, 2θ 61.04, intensity 16

Structure:
```
data_Nd5DyHo5
_space_group_name_H-M_alt 'C 1 2/m 1'
_space_group_IT_number 12
_space_group_name_Hall '-C 2y'
_cell_length_a 18.965
_cell_length_b 5.991
_cell_length_c 7.044
_cell_angle_alpha 90.00
_cell_angle_beta 111.70
_cell_angle_gamma 90.00
loop_
_atom_site_label
_atom_site_type_symbol
_atom_site_fract_x
_atom_site_fract_y
_atom_site_fract_z
Nd1 Nd 0.000 0.000 0.000
Nd2 Nd 0.176 0.500 0.421
Nd3 Nd 0.176 0.500 0.932
Dy1 Dy 0.000 0.500 0.000
Ho1 Ho 0.000 0.500 0.500
Ho2 Ho 0.122 0.000 0.623
Ho3 Ho 0.169 0.000 0.170
```

---

8.
# Nd12DyHo5
Computed PXRD pattern, Cu Kα. Input: a crystal structure in Alexandria, relaxed with PBE.
Intensities are scaled so that the largest is 100.

Peak list (8 most intense, 10 to 80 degrees two-theta, by angle)
hkl 3 1 0, 2θ 30.14, intensity 100; hkl 0 2 0, 2θ 34.89, intensity 34; hkl 3 0 3, 2θ 35.05, intensity 17; hkl 3 2 -3, 2θ 50.20, intensity 18; hkl 6 0 0, 2θ 50.30, intensity 18; hkl 3 3 0, 2θ 59.65, intensity 29; hkl 6 1 3, 2θ 59.86, intensity 14; hkl 6 2 0, 2θ 62.67, intensity 12

Structure:
```
data_Nd12DyHo5
_space_group_name_H-M_alt 'P 1 2/m 1'
_space_group_IT_number 10
_space_group_name_Hall '-P 2y'
_cell_length_a 10.875
_cell_length_b 5.144
_cell_length_c 10.895
_cell_angle_alpha 90.00
_cell_angle_beta 90.23
_cell_angle_gamma 90.00
loop_
_atom_site_label
_atom_site_type_symbol
_atom_site_fract_x
_atom_site_fract_y
_atom_site_fract_z
Nd1 Nd 0.002 0.000 0.168
Nd2 Nd 0.165 0.500 0.665
Nd3 Nd 0.168 0.500 0.002
Nd4 Nd 0.331 0.000 0.498
Nd5 Nd 0.335 0.000 0.835
Nd6 Nd 0.498 0.500 0.332
Dy1 Dy 0.500 0.500 0.000
Ho1 Ho 0.000 0.000 0.500
Ho2 Ho 0.167 0.500 0.333
Ho3 Ho 0.333 0.000 0.167
```

---

9.
# Nd8Dy3Ho4
Computed PXRD pattern, Cu Kα. Input: a crystal structure in Alexandria, relaxed with PBE.
Intensities are scaled so that the largest is 100.

Peak list (8 most intense, 10 to 80 degrees two-theta, by angle)
hkl 1 1 3, 2θ 26.46, intensity 20; hkl 0 2 1, 2θ 29.50, intensity 32; hkl 0 0 12, 2θ 29.94, intensity 59; hkl 0 2 4, 2θ 31.06, intensity 100; hkl 2 0 8, 2θ 35.69, intensity 72; hkl 0 2 16, 2θ 50.63, intensity 24; hkl 2 2 0, 2θ 52.09, intensity 39; hkl 2 2 12, 2θ 61.25, intensity 48

Structure:
```
data_Nd8Dy3Ho4
_space_group_name_H-M_alt 'R -3 m'
_space_group_IT_number 166
_space_group_name_Hall '-R 3 2"'
_cell_length_a 7.0228
_cell_length_b 7.0228
_cell_length_c 35.8178
_cell_angle_alpha 90.00
_cell_angle_beta 90.00
_cell_angle_gamma 120.00
loop_
_atom_site_label
_atom_site_type_symbol
_atom_site_fract_x
_atom_site_fract_y
_atom_site_fract_z
Nd1 Nd 0.0000 0.0000 0.2457
Nd2 Nd 0.0014 0.5007 0.7502
Dy1 Dy 0.0000 0.5000 0.5000
Ho1 Ho 0.0000 0.0000 0.0000
Ho2 Ho 0.0000 0.0000 0.3356
Ho3 Ho 0.0000 0.0000 0.5000
```

---

10.
# Nd5DyHo12
Computed PXRD pattern, Cu Kα. Input: a crystal structure in Alexandria, relaxed with PBE.
Intensities are scaled so that the largest is 100.

Peak list (8 most intense, 10 to 80 degrees two-theta, by angle)
hkl 0 0 2, 2θ 31.16, intensity 67; hkl 3 3 1, 2θ 31.78, intensity 100; hkl 4 2 0, 2θ 32.26, intensity 7; hkl 0 6 2, 2θ 44.63, intensity 17; hkl 3 3 3, 2θ 55.83, intensity 31; hkl 6 0 2, 2θ 57.01, intensity 13; hkl 4 8 2, 2θ 62.53, intensity 7; hkl 7 5 1, 2θ 63.89, intensity 7

Structure:
```
data_Nd5DyHo12
_space_group_name_H-M_alt 'C m m m'
_space_group_IT_number 65
_space_group_name_Hall '-C 2 2'
_cell_length_a 11.724
_cell_length_b 17.236
_cell_length_c 5.740
_cell_angle_alpha 90.00
_cell_angle_beta 90.00
_cell_angle_gamma 90.00
loop_
_atom_site_label
_atom_site_type_symbol
_atom_site_fract_x
_atom_site_fract_y
_atom_site_fract_z
Nd1 Nd 0.000 0.000 0.000
Nd2 Nd 0.000 0.140 0.500
Nd3 Nd 0.000 0.362 0.000
Dy1 Dy 0.000 0.500 0.500
Ho1 Ho 0.155 0.179 0.000
Ho2 Ho 0.156 0.322 0.500
Ho3 Ho 0.198 0.500 0.000
Ho4 Ho 0.201 0.000 0.500
```

---

11.
# Nd2Dy4Ho5
Computed PXRD pattern, Cu Kα. Input: a crystal structure in Alexandria, relaxed with PBE.
Intensities are scaled so that the largest is 100.

Peak list (8 most intense, 10 to 80 degrees two-theta, by angle)
hkl 1 1 -2, 2θ 30.32, intensity 41; hkl 1 -1 1, 2θ 31.13, intensity 49; hkl 0 3 1, 2θ 31.58, intensity 100; hkl 0 2 -3, 2θ 32.51, intensity 47; hkl 1 2 2, 2θ 32.92, intensity 45; hkl 1 0 5, 2θ 47.48, intensity 19; hkl 2 4 1, 2θ 61.97, intensity 29; hkl 2 3 -3, 2θ 62.53, intensity 16

Structure:
```
data_Nd2Dy4Ho5
_space_group_name_H-M_alt 'P -1'
_space_group_IT_number 2
_space_group_name_Hall '-P 1'
_cell_length_a 3.528
_cell_length_b 8.776
_cell_length_c 11.691
_cell_angle_alpha 84.92
_cell_angle_beta 89.97
_cell_angle_gamma 78.41
loop_
_atom_site_label
_atom_site_type_symbol
_atom_site_fract_x
_atom_site_fract_y
_atom_site_fract_z
Nd1 Nd 0.136 0.228 0.313
Dy1 Dy 0.231 0.037 0.856
Dy2 Dy 0.322 0.856 0.426
Ho1 Ho 0.000 0.500 0.500
Ho2 Ho 0.093 0.316 0.043
Ho3 Ho 0.459 0.582 0.216
```

---

12.
# Nd3DyHo4
Computed PXRD pattern, Cu Kα. Input: a crystal structure in Alexandria, relaxed with PBE.
Intensities are scaled so that the largest is 100.

Peak list (8 most intense, 10 to 80 degrees two-theta, by angle)
hkl 0 2 1, 2θ 28.22, intensity 16; hkl 4 0 0, 2θ 31.22, intensity 24; hkl 2 2 1, 2θ 32.37, intensity 100; hkl 4 0 2, 2θ 42.60, intensity 16; hkl 0 2 3, 2θ 50.09, intensity 13; hkl 6 2 1, 2θ 56.28, intensity 21; hkl 4 2 3, 2θ 60.21, intensity 15; hkl 2 4 2, 2θ 60.77, intensity 11

Structure:
```
data_Nd3DyHo4
_space_group_name_H-M_alt 'P m n 21'
_space_group_IT_number 31
_space_group_name_Hall 'P 2ac -2'
_cell_length_a 11.461
_cell_length_b 7.312
_cell_length_c 6.301
_cell_angle_alpha 90.00
_cell_angle_beta 90.00
_cell_angle_gamma 90.00
loop_
_atom_site_label
_atom_site_type_symbol
_atom_site_fract_x
_atom_site_fract_y
_atom_site_fract_z
Nd1 Nd 0.000 0.127 0.000
Nd2 Nd 0.250 0.127 0.335
Dy1 Dy 0.000 0.870 0.500
Ho1 Ho 0.000 0.378 0.501
Ho2 Ho 0.000 0.622 0.002
Ho3 Ho 0.248 0.622 0.334
```